(1)
For DyZnRh, a structure optimized by DFT (PBE) gives the calculated powder diffractogram in this record (Cu Kα, 1.54184 Å).
Peak positions follow from Bragg's law for the DFT cell and can differ from measured ones.

Principal peaks in the range 10 to 90 degrees two-theta, low angle first:
d_spacing, I (rel.), (hkl)
2.653, 62, 1 1 2
2.637, 41, 2 1 0
2.526, 31, 1 0 3
2.507, 100, 2 1 1
2.254, 33, 0 1 3
2.144, 24, 1 1 3
2.025, 35, 0 2 0
2.011, 27, 3 0 2

Cell and atoms:
```
data_DyZnRh
_chemical_formula_sum 'Dy4 Zn4 Rh4'
_symmetry_space_group_name_H-M 'P n m a'
_symmetry_Int_Tables_number 62
_cell_length_a 6.9396
_cell_length_b 4.0509
_cell_length_c 8.1366
_cell_angle_alpha 90.00
_cell_angle_beta 90.00
_cell_angle_gamma 90.00
loop_
_symmetry_equiv_pos_as_xyz
'x,y,z'
'-x,-y,-z'
'-x+1/2,-y,z+1/2'
'x+1/2,y,-z+1/2'
'x+1/2,-y+1/2,-z+1/2'
'-x+1/2,y+1/2,z+1/2'
'-x,y+1/2,-z'
'x,-y+1/2,z'
loop_
_atom_site_label
_atom_site_fract_x
_atom_site_fract_y
_atom_site_fract_z
_atom_site_occupancy
Dy1 0.0388 0.2500 0.1841 1
Zn1 0.1370 0.2500 0.5636 1
Rh1 0.2450 0.7500 0.3767 1
```

***

(2)
For Dy3Ru, a structure optimized by DFT (PBE) gives the calculated powder diffractogram in this record (Cu Kα, 1.54184 Å).
Peak positions follow from Bragg's law for the DFT cell and can differ from measured ones.

Principal peaks in the range 10 to 90 degrees two-theta, low angle first:
d_spacing, I (rel.), (hkl)
2.989, 29, 2 1 1
2.895, 29, 1 0 2
2.861, 37, 2 2 0
2.761, 100, 0 3 1
2.604, 52, 2 2 1
2.581, 34, 1 3 1
1.850, 21, 1 2 3
1.591, 21, 3 0 3

Cell and atoms:
```
data_Dy3Ru
_chemical_formula_sum 'Dy12 Ru4'
_symmetry_space_group_name_H-M 'P n m a'
_symmetry_Int_Tables_number 62
_cell_length_a 7.3029
_cell_length_b 9.2056
_cell_length_c 6.3076
_cell_angle_alpha 90.00
_cell_angle_beta 90.00
_cell_angle_gamma 90.00
loop_
_symmetry_equiv_pos_as_xyz
'x,y,z'
'-x,-y,-z'
'-x+1/2,-y,z+1/2'
'x+1/2,y,-z+1/2'
'x+1/2,-y+1/2,-z+1/2'
'-x+1/2,y+1/2,z+1/2'
'-x,y+1/2,-z'
'x,-y+1/2,z'
loop_
_atom_site_label
_atom_site_fract_x
_atom_site_fract_y
_atom_site_fract_z
_atom_site_occupancy
Dy1 0.0403 0.2500 0.1354 1
Dy2 0.1770 0.0648 0.6700 1
Ru1 0.1146 0.7500 0.4600 1
```

***

(3)
For DyRu3, a structure optimized by DFT (PBE) gives the calculated powder diffractogram in this record (Cu Kα, 1.54184 Å).
Peak positions follow from Bragg's law for the DFT cell and can differ from measured ones.

Principal peaks in the range 10 to 90 degrees two-theta, low angle first:
d_spacing, I (rel.), (hkl)
4.047, 4, 1 0 0
2.862, 4, 1 1 0
2.337, 100, 1 1 1
2.024, 49, 2 0 0
1.810, 2, 2 1 0
1.431, 31, 2 2 0
1.220, 37, 3 1 1
1.168, 11, 2 2 2

Cell and atoms:
```
data_DyRu3
_chemical_formula_sum 'Dy1 Ru3'
_symmetry_space_group_name_H-M 'P m -3 m'
_symmetry_Int_Tables_number 221
_symmetry_space_group_name_Hall '-P 4 2 3'
_cell_length_a 4.0473
_cell_length_b 4.0473
_cell_length_c 4.0473
_cell_angle_alpha 90.00
_cell_angle_beta 90.00
_cell_angle_gamma 90.00
loop_
_atom_site_label
_atom_site_fract_x
_atom_site_fract_y
_atom_site_fract_z
_atom_site_occupancy
Dy1 0.0000 0.0000 0.0000 1
Ru1 0.0000 0.5000 0.5000 1
```

***

(4)
For Dy3Ru2, a structure optimized by DFT (PBE) gives the calculated powder diffractogram in this record (Cu Kα, 1.54184 Å).
Peak positions follow from Bragg's law for the DFT cell and can differ from measured ones.

Principal peaks in the range 10 to 90 degrees two-theta, low angle first:
d_spacing, I (rel.), (hkl)
2.964, 100, 1 1 1
2.701, 52, 2 0 1
2.482, 45, 2 1 0
2.376, 18, 0 0 2
2.200, 22, 1 2 1
2.189, 37, 3 0 0
1.716, 24, 1 2 2
1.436, 24, 3 2 1

Cell and atoms:
```
data_Dy3Ru2
_chemical_formula_sum 'Dy6 Ru4'
_symmetry_space_group_name_H-M 'P 63/m'
_symmetry_Int_Tables_number 176
_symmetry_space_group_name_Hall '-P 6c'
_cell_length_a 7.5829
_cell_length_b 7.5829
_cell_length_c 4.7527
_cell_angle_alpha 90.00
_cell_angle_beta 90.00
_cell_angle_gamma 120.00
loop_
_atom_site_label
_atom_site_fract_x
_atom_site_fract_y
_atom_site_fract_z
_atom_site_occupancy
Dy1 0.0788 0.6956 0.2500 1
Ru1 0.0000 0.0000 0.0000 1
Ru2 0.3333 0.6667 0.7500 1
```